The following is a theoretical XRD peak list of Cs2Li2SbTe4. It was derived from a crystal structure in Alexandria, relaxed with GGA-PBE, using Cu Kα X-rays.

Atomic structure:
Cell lengths 10.973, 12.950, 4.751 Å; angles 90.00, 90.00, 90.00 degrees
Space group Cmmm (No. 65)
Unique sites:
1 Cs 0.000 0.227 0.000 (multiplicity 4)
2 Li 0.189 0.500 0.000 (multiplicity 4)
3 Sb 0.000 0.500 0.500 (multiplicity 2)
4 Te 0.244 0.375 0.500 (multiplicity 8)

Largest 10 diffraction maxima, sorted by position, 2θ = 10–80°:
- (0 0 1), 2θ = 18.7°, I = 30
- (0 2 1), 2θ = 23.2°, I = 38
- (2 0 1), 2θ = 24.8°, I = 100
- (2 2 1), 2θ = 28.4°, I = 52
- (2 4 0), 2θ = 32.1°, I = 98
- (4 0 0), 2θ = 32.6°, I = 48
- (0 4 1), 2θ = 33.5°, I = 42
- (0 0 2), 2θ = 37.9°, I = 43
- (4 4 1), 2θ = 47.5°, I = 31
- (2 4 2), 2θ = 50.5°, I = 54